(1)
This entry pairs a crystal structure of Li2Ti2V3O10 with its calculated powder X-ray diffraction pattern. Radiation: CuKα. Structure: a crystal structure in Alexandria, relaxed with GGA+U.
Intensities are scaled so that the largest is 100.

Top 12 peaks for 10 to 90 degrees two-theta, by angle:
- 2θ = 11.94°, intensity 60
- 2θ = 17.87°, intensity 100
- 2θ = 22.44°, intensity 17
- 2θ = 26.89°, intensity 19
- 2θ = 27.72°, intensity 18
- 2θ = 29.99°, intensity 13
- 2θ = 35.72°, intensity 16
- 2θ = 37.88°, intensity 41
- 2θ = 39.01°, intensity 10
- 2θ = 44.31°, intensity 30
- 2θ = 45.39°, intensity 27
- 2θ = 59.76°, intensity 10

Structure:
```
Li2Ti2V3O10
1.0
5.1724 0.0000 0.0000
1.2394 5.0715 0.0000
1.5799 1.5625 7.4120
Li Ti V O
2 2 3 10
direct
0.0000 0.0000 0.0000 Li
0.1102 0.5714 0.7864 Li
0.5462 0.9138 0.7086 Ti
0.5612 0.6553 0.0795 Ti
0.0591 0.7826 0.3875 V
0.5139 0.0884 0.2866 V
0.6026 0.4689 0.5003 V
0.2671 0.9746 0.1737 O
0.3265 0.7352 0.8982 O
0.3483 0.4668 0.3374 O
0.3508 0.8280 0.5280 O
0.3966 0.2728 0.7039 O
0.7058 0.3011 0.0768 O
0.7696 0.0990 0.4596 O
0.7697 0.7182 0.2564 O
0.7839 0.8339 0.8804 O
0.8349 0.5734 0.6052 O
```

(2)
This entry pairs a crystal structure of Li2Ti3VO8 with its calculated powder X-ray diffraction pattern. Radiation: CuKα. Structure: a crystal structure in Alexandria, relaxed with GGA+U.
Intensities are scaled so that the largest is 100.

Top 12 peaks for 10 to 90 degrees two-theta, by angle:
- 2θ = 18.12°, intensity 100
- 2θ = 35.09°, intensity 46
- 2θ = 36.71°, intensity 6
- 2θ = 42.64°, intensity 60
- 2θ = 46.69°, intensity 9
- 2θ = 56.37°, intensity 20
- 2θ = 61.89°, intensity 36
- 2θ = 65.07°, intensity 13
- 2θ = 74.17°, intensity 5
- 2θ = 78.07°, intensity 9
- 2θ = 80.96°, intensity 7
- 2θ = 88.57°, intensity 7

Structure:
```
Li2Ti3VO8
1.0
8.4808 0.0000 0.0000
0.0000 8.4808 0.0000
0.0000 0.0000 8.4808
Li Ti V O
8 12 4 32
direct
0.0023 0.4977 0.5023 Li
0.2477 0.7477 0.7523 Li
0.2523 0.2523 0.2523 Li
0.4977 0.5023 0.0023 Li
0.5023 0.0023 0.4977 Li
0.7477 0.7523 0.2477 Li
0.7523 0.2477 0.7477 Li
0.9977 0.9977 0.9977 Li
0.1224 0.6250 0.1276 Ti
0.1250 0.3724 0.8776 Ti
0.1276 0.1224 0.6250 Ti
0.3724 0.8776 0.1250 Ti
0.3750 0.6276 0.3776 Ti
0.3776 0.3750 0.6276 Ti
0.6224 0.8750 0.8724 Ti
0.6250 0.1276 0.1224 Ti
0.6276 0.3776 0.3750 Ti
0.8724 0.6224 0.8750 Ti
0.8750 0.8724 0.6224 Ti
0.8776 0.1250 0.3724 Ti
0.1250 0.8750 0.3750 V
0.3750 0.1250 0.8750 V
0.6250 0.6250 0.6250 V
0.8750 0.3750 0.1250 V
0.1066 0.1245 0.3905 O
0.1095 0.8934 0.6245 O
0.1113 0.6113 0.8887 O
0.1245 0.3905 0.1066 O
0.1255 0.1434 0.8595 O
0.1387 0.3613 0.6387 O
0.1405 0.6255 0.3566 O
0.1434 0.8595 0.1255 O
0.3566 0.1405 0.6255 O
0.3595 0.3745 0.8566 O
0.3613 0.6387 0.1387 O
0.3745 0.8566 0.3595 O
0.3755 0.6095 0.6066 O
0.3887 0.3887 0.3887 O
0.3905 0.1066 0.1245 O
0.3934 0.8755 0.8905 O
0.6066 0.3755 0.6095 O
0.6095 0.6066 0.3755 O
0.6113 0.8887 0.1113 O
0.6245 0.1095 0.8934 O
0.6255 0.3566 0.1405 O
0.6387 0.1387 0.3613 O
0.6405 0.8745 0.6434 O
0.6434 0.6405 0.8745 O
0.8566 0.3595 0.3745 O
0.8595 0.1255 0.1434 O
0.8613 0.8613 0.8613 O
0.8745 0.6434 0.6405 O
0.8755 0.8905 0.3934 O
0.8887 0.1113 0.6113 O
0.8905 0.3934 0.8755 O
0.8934 0.6245 0.1095 O
```